ThNi4Sn12: simulated XRD peak list (copper Kα), based on a PBE-relaxed structure.
Neutral-atom scattering factors, no anomalous dispersion.

Principal peaks in the range 15 to 90 degrees two-theta, in order of rising 2θ:
- d = 2.921 Å, 30.61°, I 100
- d = 2.468 Å, 36.40°, I 57
- d = 1.885 Å, 48.27°, I 27
- d = 1.811 Å, 50.38°, I 26
- d = 1.584 Å, 58.25°, I 16
- d = 1.362 Å, 68.96°, I 21

Lattice parameters (Å, degrees): 7.998 7.998 7.998 109.47 109.47 109.47
Fractional positions:
Th 0.000 0.000 0.000
Ni 0.000 0.000 0.500
Ni 0.000 0.500 0.000
Ni 0.500 0.000 0.000
Ni 0.500 0.500 0.500
Sn 0.167 0.337 0.503
Sn 0.167 0.663 0.830
Sn 0.170 0.833 0.337
Sn 0.337 0.170 0.833
Sn 0.337 0.503 0.167
Sn 0.497 0.833 0.663
Sn 0.503 0.167 0.337
Sn 0.663 0.497 0.833
Sn 0.663 0.830 0.167
Sn 0.830 0.167 0.663
Sn 0.833 0.337 0.170
Sn 0.833 0.663 0.497